[1]
For Ca2PmGa3, the GGA-PBE geometry in Alexandria gives the simulated XRD peak list in this record (a wavelength of 1.5418 Å).
Kinematic intensities with the Lorentz-polarization factor, no thermal factor.

The 10 most intense peaks (10 to 80 degrees two-theta), by angle:
hkl 0 0 1, 12.23°, 7.236 Å, I 15; hkl 1 3 1, 27.09°, 3.291 Å, I 10; hkl 0 6 0, 34.21°, 2.621 Å, I 25; hkl 2 0 0, 34.42°, 2.605 Å, I 26; hkl 1 3 2, 34.70°, 2.585 Å, I 100; hkl 2 6 0, 49.31°, 1.848 Å, I 18; hkl 1 9 2, 61.56°, 1.506 Å, I 17; hkl 3 3 2, 61.84°, 1.500 Å, I 18; hkl 2 0 4, 62.51°, 1.486 Å, I 9; hkl 2 6 4, 73.22°, 1.293 Å, I 10

Crystal structure
```
data_Ca2PmGa3
_space_group_name_H-M_alt 'C m m m'
_space_group_IT_number 65
_space_group_name_Hall '-C 2 2'
_cell_length_a 5.2108
_cell_length_b 15.7284
_cell_length_c 7.2356
_cell_angle_alpha 90.00
_cell_angle_beta 90.00
_cell_angle_gamma 90.00
loop_
_atom_site_label
_atom_site_fract_x
_atom_site_fract_y
_atom_site_fract_z
Ca1 0.0000 0.0000 0.0000
Ca2 0.0000 0.0000 0.5000
Ca3 0.0000 0.3320 0.0000
Pm1 0.0000 0.3420 0.5000
Ga1 0.0000 0.1692 0.2563
Ga2 0.0000 0.5000 0.2374
```



[2]
For Ca4PmGa4, the GGA-PBE geometry in Alexandria gives the simulated XRD peak list in this record (a wavelength of 1.5418 Å).
Kinematic intensities with the Lorentz-polarization factor, no thermal factor.

The 10 most intense peaks (10 to 80 degrees two-theta), by angle:
hkl 1 0 1, 17.14°, 5.172 Å, I 81; hkl 1 1 1, 19.60°, 4.530 Å, I 24; hkl 1 2 1, 25.63°, 3.476 Å, I 40; hkl 1 3 0, 30.10°, 2.969 Å, I 100; hkl 1 0 2, 30.38°, 2.942 Å, I 32; hkl 1 2 2, 36.02°, 2.493 Å, I 35; hkl 2 3 1, 37.46°, 2.401 Å, I 38; hkl 4 1 1, 42.28°, 2.137 Å, I 26; hkl 4 2 0, 43.09°, 2.099 Å, I 30; hkl 3 2 2, 45.50°, 1.993 Å, I 29

Crystal structure
```
data_Ca4PmGa4
_space_group_name_H-M_alt 'P 42/n'
_space_group_IT_number 86
_cell_length_a 9.3889
_cell_length_b 9.3889
_cell_length_c 6.1970
_cell_angle_alpha 90.00
_cell_angle_beta 90.00
_cell_angle_gamma 90.00
loop_
_space_group_symop_operation_xyz
'x,y,z'
'-x,-y,-z'
'-y,x+1/2,z+1/2'
'y,-x+1/2,-z+1/2'
'-x+1/2,-y+1/2,z'
'x+1/2,y+1/2,-z'
'y+1/2,-x,z+1/2'
'-y+1/2,x,-z+1/2'
loop_
_atom_site_label
_atom_site_fract_x
_atom_site_fract_y
_atom_site_fract_z
Ca1 0.0666 0.6613 0.1235
Pm1 0.2500 0.2500 0.2500
Ga1 0.0164 0.6117 0.6137
```



- What is the formula in the first record?
  Ca2PmGa3